No. 1
Diffraction record for Li5ReO6. The powder XRD pattern is theoretical, not measured: it uses a crystal structure in the Materials Project, relaxed with GGA-PBE and λ = 1.5418 Å (Cu Kα).

Structural model:
```
data_Li5ReO6
_symmetry_space_group_name_H-M 'P 1'
_symmetry_Int_Tables_number 1
_symmetry_space_group_name_Hall 'P 1'
_cell_length_a 5.1043
_cell_length_b 5.1043
_cell_length_c 14.3282
_cell_angle_alpha 90.00
_cell_angle_beta 90.00
_cell_angle_gamma 120.00
loop_
_atom_site_label
_atom_site_fract_x
_atom_site_fract_y
_atom_site_fract_z
Li1 0.0949 0.5475 0.0000
Li2 0.1032 0.2064 0.6667
Li3 0.1032 0.8968 0.3333
Li4 0.1109 0.2218 0.1667
Li5 0.1109 0.8891 0.8333
Li6 0.4449 0.2224 0.5000
Li7 0.4450 0.2225 0.0000
Li8 0.4525 0.5475 0.3333
Li9 0.4525 0.9051 0.6667
Li10 0.7775 0.2225 0.3333
Li11 0.7775 0.5550 0.6667
Li12 0.7776 0.2224 0.8333
Li13 0.7776 0.5551 0.1667
Li14 0.7782 0.8891 0.5000
Li15 0.7936 0.8968 0.0000
Re1 0.1122 0.5561 0.5000
Re2 0.4439 0.5561 0.8333
Re3 0.4439 0.8878 0.1667
O1 0.1095 0.2500 0.4223
O2 0.1095 0.8595 0.5777
O3 0.1405 0.2500 0.9110
O4 0.1396 0.5541 0.7572
O5 0.1396 0.5855 0.2428
O6 0.1405 0.8905 0.0890
O7 0.4145 0.5541 0.5761
O8 0.4145 0.8604 0.4239
O9 0.4448 0.1944 0.2441
O10 0.4448 0.2504 0.7559
O11 0.4459 0.5855 0.0906
O12 0.4459 0.8604 0.9094
O13 0.7496 0.1944 0.0892
O14 0.7496 0.5552 0.9108
O15 0.7500 0.8595 0.7557
O16 0.7500 0.8905 0.2443
O17 0.8056 0.2504 0.5774
O18 0.8056 0.5552 0.4226
```

Peak list (12 most intense, 2θ from 10° to 90°, low angle first)
| Position (°2θ) | d [Å] | I_rel |
| --- | --- | --- |
| 18.58 | 4.776 | 69.3 |
| 20.09 | 4.420 | 57.1 |
| 21.03 | 4.224 | 100.0 |
| 23.65 | 3.762 | 73.3 |
| 27.49 | 3.244 | 49.4 |
| 32.16 | 2.783 | 30.1 |
| 35.74 | 2.513 | 34.4 |
| 37.40 | 2.404 | 31.7 |
| 43.54 | 2.079 | 57.7 |
| 55.36 | 1.660 | 19.3 |
| 63.09 | 1.473 | 17.0 |
| 63.45 | 1.466 | 16.8 |

***

No. 2
Diffraction record for LiReO3. The powder XRD pattern is theoretical, not measured: it uses a crystal structure in the Materials Project, relaxed with GGA-PBE and λ = 1.5418 Å (Cu Kα).

Structural model:
```
data_LiReO3
_symmetry_space_group_name_H-M 'P 1'
_symmetry_Int_Tables_number 1
_symmetry_space_group_name_Hall 'P 1'
_cell_length_a 5.4269
_cell_length_b 5.4269
_cell_length_c 5.4269
_cell_angle_alpha 56.54
_cell_angle_beta 56.54
_cell_angle_gamma 56.54
loop_
_atom_site_label
_atom_site_fract_x
_atom_site_fract_y
_atom_site_fract_z
Li1 0.0000 0.0000 0.0000
Li2 0.5000 0.5000 0.5000
Re1 0.2151 0.2151 0.2151
Re2 0.7151 0.7151 0.7151
O1 0.0771 0.8504 0.4576
O2 0.3504 0.5771 0.9576
O3 0.4576 0.0771 0.8504
O4 0.5771 0.9576 0.3504
O5 0.8504 0.4576 0.0771
O6 0.9576 0.3504 0.5771
```

Peak list (12 most intense, 2θ from 10° to 90°, low angle first)
| Position (°2θ) | d [Å] | I_rel |
| --- | --- | --- |
| 23.87 | 3.727 | 100.0 |
| 33.11 | 2.706 | 39.3 |
| 34.91 | 2.570 | 29.6 |
| 42.74 | 2.116 | 15.6 |
| 48.87 | 1.864 | 17.8 |
| 53.86 | 1.702 | 25.7 |
| 56.32 | 1.634 | 18.0 |
| 57.96 | 1.591 | 7.9 |
| 61.46 | 1.509 | 14.8 |
| 62.60 | 1.484 | 9.4 |
| 78.77 | 1.215 | 7.8 |
| 80.17 | 1.197 | 6.7 |